# 1
Starting from a DFT-relaxed cell (PBE, OQMD), the powder X-ray diffraction pattern of Pr3Zn11 was calculated for λ = 1.5418 Å (Cu Kα).
Intensities are scaled so that the largest is 100.

Most intense lines, 10 to 80 degrees two-theta, in order of falling intensity:
- 2θ = 34.8°, intensity 100
- 2θ = 36.1°, intensity 60
- 2θ = 40.5°, intensity 47
- 2θ = 35.2°, intensity 32
- 2θ = 38.6°, intensity 26
- 2θ = 33.6°, intensity 25
- 2θ = 40.8°, intensity 22
- 2θ = 68.0°, intensity 20
- 2θ = 28.4°, intensity 18
- 2θ = 55.4°, intensity 16

Unit cell a=4.4582 b=9.0010 c=13.2681 alpha=90.00 beta=90.00 gamma=90.00
Space group Immm (No. 71)
Symmetry-distinct sites (fractional):
Pr1 0.0000 0.0000 0.0000 [2 per cell]
Pr2 0.0000 0.0000 0.2990 [4 per cell]
Zn1 0.0000 0.1901 0.5000 [4 per cell]
Zn2 0.0000 0.2800 0.1384 [8 per cell]
Zn3 0.0000 0.3602 0.3408 [8 per cell]
Zn4 0.0000 0.5000 0.0000 [2 per cell]

# 2
Starting from a DFT-relaxed cell (PBE, OQMD), the powder X-ray diffraction pattern of PrZr3 was calculated for λ = 1.5418 Å (Cu Kα).
Intensities are scaled so that the largest is 100.

Most intense lines, 10 to 80 degrees two-theta, in order of falling intensity:
- 2θ = 35.3°, intensity 100
- 2θ = 35.2°, intensity 52
- 2θ = 33.6°, intensity 43
- 2θ = 30.9°, intensity 26
- 2θ = 61.2°, intensity 20
- 2θ = 65.8°, intensity 19
- 2θ = 54.8°, intensity 17
- 2θ = 46.3°, intensity 17
- 2θ = 67.1°, intensity 15
- 2θ = 66.1°, intensity 11

Unit cell a=5.3374 b=6.6611 c=5.8141 alpha=90.00 beta=90.00 gamma=90.00
Space group Pmmn (No. 59, origin choice 2)
Symmetry-distinct sites (fractional):
Pr1 0.2500 0.2500 0.1537 [2 per cell]
Zr1 0.2500 0.0057 0.6549 [4 per cell]
Zr2 0.2500 0.7500 0.1983 [2 per cell]

# 3
Starting from a DFT-relaxed cell (PBE, OQMD), the powder X-ray diffraction pattern of Pr3Zr4 was calculated for λ = 1.5418 Å (Cu Kα).
Intensities are scaled so that the largest is 100.

Most intense lines, 10 to 80 degrees two-theta, in order of falling intensity:
- 2θ = 34.2°, intensity 100
- 2θ = 33.2°, intensity 27
- 2θ = 29.8°, intensity 24
- 2θ = 59.9°, intensity 19
- 2θ = 63.9°, intensity 18
- 2θ = 52.9°, intensity 16
- 2θ = 45.2°, intensity 15
- 2θ = 64.6°, intensity 11
- 2θ = 27.9°, intensity 8
- 2θ = 25.5°, intensity 7

Unit cell a=9.1524 b=9.1524 c=5.4036 alpha=90.00 beta=90.00 gamma=120.00
Space group P6_3/m (No. 176)
Symmetry-distinct sites (fractional):
Pr1 0.0658 0.8006 0.2500 [6 per cell]
Zr1 0.1112 0.6007 0.7500 [6 per cell]
Zr2 0.3333 0.6667 0.2500 [2 per cell]

# 4
Starting from a DFT-relaxed cell (PBE, OQMD), the powder X-ray diffraction pattern of Pt was calculated for λ = 1.5418 Å (Cu Kα).
Intensities are scaled so that the largest is 100.

Most intense lines, 10 to 80 degrees two-theta, in order of falling intensity:
- 2θ = 38.7°, intensity 100
- 2θ = 46.0°, intensity 62
- 2θ = 42.2°, intensity 26
- 2θ = 64.6°, intensity 23
- 2θ = 69.6°, intensity 18
- 2θ = 77.9°, intensity 13

Unit cell a=2.8836 b=2.8836 c=6.4237 alpha=90.00 beta=90.00 gamma=120.00
Space group R-3m (No. 166, hexagonal axes)
Symmetry-distinct sites (fractional):
Pt1 0.0000 0.0000 0.0000 [3 per cell]

# 5
Starting from a DFT-relaxed cell (PBE, OQMD), the powder X-ray diffraction pattern of Pt was calculated for λ = 1.5418 Å (Cu Kα).
Intensities are scaled so that the largest is 100.

Most intense lines, 10 to 80 degrees two-theta, in order of falling intensity:
- 2θ = 39.4°, intensity 100
- 2θ = 46.3°, intensity 32
- 2θ = 66.5°, intensity 22
- 2θ = 45.0°, intensity 17
- 2θ = 79.3°, intensity 14
- 2θ = 67.5°, intensity 10

Unit cell a=2.7746 b=2.7746 c=4.0276 alpha=90.00 beta=90.00 gamma=90.00
Space group I4/mmm (No. 139)
Symmetry-distinct sites (fractional):
Pt1 0.0000 0.0000 0.0000 [2 per cell]

# 6
Starting from a DFT-relaxed cell (PBE, OQMD), the powder X-ray diffraction pattern of Pt was calculated for λ = 1.5418 Å (Cu Kα).
Intensities are scaled so that the largest is 100.

Most intense lines, 10 to 80 degrees two-theta, in order of falling intensity:
- 2θ = 40.2°, intensity 100
- 2θ = 45.6°, intensity 75
- 2θ = 39.3°, intensity 71
- 2θ = 39.0°, intensity 43
- 2θ = 47.3°, intensity 37
- 2θ = 67.9°, intensity 36
- 2θ = 67.5°, intensity 21
- 2θ = 64.9°, intensity 19
- 2θ = 78.9°, intensity 16
- 2θ = 10.9°, intensity 15

Unit cell a=2.7600 b=2.7600 c=32.3656 alpha=90.00 beta=90.00 gamma=120.00
Space group P-3m1 (No. 164)
Symmetry-distinct sites (fractional):
Pt1 0.0000 0.0000 0.0000 [1 per cell]
Pt2 0.0000 0.0000 0.2149 [2 per cell]
Pt3 0.3333 0.6667 0.1431 [2 per cell]
Pt4 0.3333 0.6667 0.7122 [2 per cell]
Pt5 0.3333 0.6667 0.9284 [2 per cell]